(1)
Starting from DFT lattice parameters and positions (GGA-PBE), the XRD peak list of ScTiCrH was calculated for Cu Kα.
Kinematic intensities with the Lorentz-polarization factor, no thermal factor.

Most intense lines, 5 to 70 degrees two-theta, in order of falling intensity:
d_spacing	2theta	Rel. int.
2.329	38.66	100
2.266	39.78	58
1.602	57.52	17
5.085	17.44	14
1.357	69.24	11
1.717	53.35	10

Cell and atoms:
```
ScTiCrH
1.0
3.205 0.000 0.000
0.000 3.205 0.000
0.000 0.000 10.170
Sc Ti Cr H
2 2 2 2
direct
0.000 0.000 0.000
0.500 0.500 0.500
0.000 0.000 0.713
0.500 0.500 0.213
0.000 0.000 0.328
0.500 0.500 0.828
0.000 0.000 0.510
0.500 0.500 0.010
```

(2)
Starting from DFT lattice parameters and positions (GGA-PBE), the XRD peak list of CrHSe2 was calculated for Cu Kα.
Kinematic intensities with the Lorentz-polarization factor, no thermal factor.

Most intense lines, 5 to 70 degrees two-theta, in order of falling intensity:
d_spacing	2theta	Rel. int.
6.907	12.82	100
2.156	41.90	52
2.030	44.63	39
2.010	45.10	37
2.479	36.23	37
2.502	35.89	31

Cell and atoms:
```
CrHSe2
1.0
7.147 0.000 0.000
0.000 5.518 0.000
-1.803 0.000 6.783
Cr H Se
4 4 8
direct
0.000 0.109 0.164
0.000 0.391 0.664
0.000 0.609 0.336
0.000 0.891 0.836
0.000 0.071 0.635
0.000 0.429 0.135
0.000 0.571 0.865
0.000 0.929 0.365
0.229 0.219 0.957
0.229 0.281 0.457
0.229 0.719 0.663
0.229 0.781 0.163
0.771 0.219 0.837
0.771 0.281 0.337
0.771 0.719 0.543
0.771 0.781 0.043
```

(3)
Starting from DFT lattice parameters and positions (GGA-PBE), the XRD peak list of TaV2CrH was calculated for Cu Kα.
Kinematic intensities with the Lorentz-polarization factor, no thermal factor.

Most intense lines, 5 to 70 degrees two-theta, in order of falling intensity:
d_spacing	2theta	Rel. int.
2.234	40.38	100
2.833	31.58	28
2.264	39.82	26
1.816	50.24	26
3.632	24.51	25
4.527	19.61	23

Cell and atoms:
```
TaV2CrH
1.0
3.632 0.000 0.000
0.000 3.632 0.000
0.000 0.000 4.527
Ta V Cr H
1 2 1 1
direct
0.000 0.000 0.000
0.000 0.500 0.500
0.500 0.000 0.500
0.500 0.500 0.000
0.500 0.500 0.500
```

(4)
Starting from DFT lattice parameters and positions (GGA-PBE), the XRD peak list of TbCr2H8 was calculated for Cu Kα.
Kinematic intensities with the Lorentz-polarization factor, no thermal factor.

Most intense lines, 5 to 70 degrees two-theta, in order of falling intensity:
d_spacing	2theta	Rel. int.
2.886	30.99	100
2.925	30.56	62
2.237	40.32	39
3.813	23.33	28
1.750	52.27	27
1.571	58.77	26

Cell and atoms:
```
TbCr2H8
1.0
4.414 0.000 0.000
0.000 3.906 2.184
0.000 -3.906 2.184
Tb Cr H
1 2 8
direct
0.000 0.000 0.000
0.500 0.342 0.695
0.500 0.695 0.342
0.220 0.015 0.474
0.220 0.474 0.015
0.251 0.500 0.500
0.500 0.023 0.792
0.500 0.792 0.023
0.749 0.500 0.500
0.780 0.015 0.474
0.780 0.474 0.015
```

(5)
Starting from DFT lattice parameters and positions (GGA-PBE), the XRD peak list of Cr2TcH2 was calculated for Cu Kα.
Kinematic intensities with the Lorentz-polarization factor, no thermal factor.

Most intense lines, 5 to 70 degrees two-theta, in order of falling intensity:
d_spacing	2theta	Rel. int.
2.235	40.36	100
1.948	46.62	33
5.733	15.46	24
1.364	68.82	17
1.911	47.59	13
1.378	68.06	10

Cell and atoms:
```
Cr2TcH2
1.0
2.755 0.000 0.000
0.000 2.755 0.000
0.000 0.000 11.465
Cr Tc H
4 2 4
direct
0.000 0.000 0.153
0.000 0.000 0.847
0.500 0.500 0.347
0.500 0.500 0.653
0.000 0.000 0.500
0.500 0.500 0.000
0.000 0.500 0.250
0.000 0.500 0.750
0.500 0.000 0.250
0.500 0.000 0.750
```

(6)
Starting from DFT lattice parameters and positions (GGA-PBE), the XRD peak list of VCr2H4 was calculated for Cu Kα.
Kinematic intensities with the Lorentz-polarization factor, no thermal factor.

Most intense lines, 5 to 70 degrees two-theta, in order of falling intensity:
d_spacing	2theta	Rel. int.
2.215	40.74	100
2.120	42.64	39
1.414	66.10	27
2.597	34.54	26
4.241	20.95	10
1.499	61.89	8

Cell and atoms:
```
VCr2H4
1.0
-2.598 2.598 3.669
2.598 -2.598 3.669
2.598 2.598 -3.669
V Cr H
2 4 8
direct
0.375 0.625 0.750
0.625 0.375 0.250
0.000 0.000 0.000
0.000 0.000 0.500
0.000 0.500 0.000
0.500 0.000 0.500
0.211 0.237 0.974
0.236 0.763 0.474
0.237 0.211 0.474
0.237 0.764 0.026
0.763 0.236 0.974
0.763 0.789 0.526
0.764 0.237 0.526
0.789 0.763 0.026
```

(7)
Starting from DFT lattice parameters and positions (GGA-PBE), the XRD peak list of V2CrH was calculated for Cu Kα.
Kinematic intensities with the Lorentz-polarization factor, no thermal factor.

Most intense lines, 5 to 70 degrees two-theta, in order of falling intensity:
d_spacing	2theta	Rel. int.
2.134	42.36	100
2.123	42.59	25
2.107	42.93	24
1.495	62.08	15
1.523	60.84	7
1.559	59.27	2

Cell and atoms:
```
V2CrH
1.0
4.213 0.000 0.000
0.000 9.136 0.000
0.000 0.000 4.245
V Cr H
8 4 4
direct
0.236 0.096 0.000
0.236 0.904 0.500
0.264 0.404 0.000
0.264 0.596 0.500
0.736 0.404 0.500
0.736 0.596 0.000
0.764 0.096 0.500
0.764 0.904 0.000
0.250 0.250 0.500
0.250 0.750 0.000
0.750 0.250 0.000
0.750 0.750 0.500
0.000 0.500 0.250
0.000 0.500 0.750
0.500 0.000 0.250
0.500 0.000 0.750
```

(8)
Starting from DFT lattice parameters and positions (GGA-PBE), the XRD peak list of YCr2H was calculated for Cu Kα.
Kinematic intensities with the Lorentz-polarization factor, no thermal factor.

Most intense lines, 5 to 70 degrees two-theta, in order of falling intensity:
d_spacing	2theta	Rel. int.
2.299	39.19	100
2.696	33.23	50
1.467	63.38	30
2.201	41.00	24
1.348	69.77	23
1.556	59.38	18

Cell and atoms:
```
YCr2H
1.0
0.000 3.812 3.812
3.812 0.000 3.812
3.812 3.812 0.000
Y Cr H
2 4 2
direct
0.125 0.125 0.125
0.875 0.875 0.875
0.000 0.500 0.500
0.500 0.000 0.500
0.500 0.500 0.000
0.500 0.500 0.500
0.375 0.375 0.375
0.625 0.625 0.625
```

(9)
Starting from DFT lattice parameters and positions (GGA-PBE), the XRD peak list of Zr5Cr2H12 was calculated for Cu Kα.
Kinematic intensities with the Lorentz-polarization factor, no thermal factor.

Most intense lines, 5 to 70 degrees two-theta, in order of falling intensity:
d_spacing	2theta	Rel. int.
2.788	32.11	100
2.450	36.68	27
2.752	32.53	17
2.674	33.51	15
2.192	41.19	12
1.565	59.02	12

Cell and atoms:
```
Zr5Cr2H12
1.0
5.028 -2.674 0.000
5.028 2.674 0.000
-1.427 0.000 6.407
Zr Cr H
5 2 12
direct
0.000 0.000 0.000
0.289 0.289 0.661
0.343 0.343 0.139
0.657 0.657 0.861
0.711 0.711 0.339
0.219 0.781 0.500
0.781 0.219 0.500
0.060 0.060 0.346
0.067 0.595 0.903
0.128 0.534 0.406
0.405 0.933 0.097
0.466 0.872 0.594
0.484 0.484 0.649
0.516 0.516 0.351
0.534 0.128 0.406
0.595 0.067 0.903
0.872 0.466 0.594
0.933 0.405 0.097
0.940 0.940 0.654
```

(10)
Starting from DFT lattice parameters and positions (GGA-PBE), the XRD peak list of HfCr5 was calculated for Cu Kα.
Kinematic intensities with the Lorentz-polarization factor, no thermal factor.

Most intense lines, 5 to 70 degrees two-theta, in order of falling intensity:
d_spacing	2theta	Rel. int.
2.100	43.08	100
2.136	42.30	27
2.070	43.73	23
6.210	14.26	20
4.040	22.00	20
2.971	30.08	16

Cell and atoms:
```
HfCr5
1.0
4.273 0.000 0.000
0.000 12.420 0.000
0.000 0.000 2.966
Hf Cr
2 10
direct
0.000 0.000 0.000
0.500 0.500 0.000
0.000 0.179 0.500
0.000 0.330 0.000
0.000 0.500 0.500
0.000 0.670 0.000
0.000 0.821 0.500
0.500 0.000 0.500
0.500 0.170 0.000
0.500 0.321 0.500
0.500 0.679 0.500
0.500 0.830 0.000
```

(11)
Starting from DFT lattice parameters and positions (GGA-PBE), the XRD peak list of HfCr3 was calculated for Cu Kα.
Kinematic intensities with the Lorentz-polarization factor, no thermal factor.

Most intense lines, 5 to 70 degrees two-theta, in order of falling intensity:
d_spacing	2theta	Rel. int.
2.116	42.73	100
2.507	35.82	62
2.668	33.59	58
2.162	41.78	38
2.445	36.76	33
4.271	20.80	25

Cell and atoms:
```
HfCr3
1.0
4.342 -2.507 0.000
4.342 2.507 0.000
-2.904 0.000 7.890
Hf Cr
3 9
direct
0.000 0.000 0.000
0.144 0.144 0.431
0.856 0.856 0.569
0.080 0.583 0.248
0.333 0.333 0.998
0.416 0.416 0.752
0.417 0.920 0.752
0.500 0.500 0.500
0.583 0.080 0.248
0.584 0.584 0.248
0.667 0.667 0.002
0.920 0.417 0.752
```

(12)
Starting from DFT lattice parameters and positions (GGA-PBE), the XRD peak list of Hf2Cr2Hg was calculated for Cu Kα.
Kinematic intensities with the Lorentz-polarization factor, no thermal factor.

Most intense lines, 5 to 70 degrees two-theta, in order of falling intensity:
d_spacing	2theta	Rel. int.
2.395	37.56	100
2.558	35.09	96
2.146	42.11	42
3.023	29.55	29
3.034	29.44	25
1.479	62.82	24

Cell and atoms:
```
Hf2Cr2Hg
1.0
6.785 0.000 0.000
0.000 6.785 0.000
0.000 0.000 3.893
Hf Cr Hg
4 4 2
direct
0.179 0.321 0.000
0.321 0.821 0.000
0.679 0.179 0.000
0.821 0.679 0.000
0.104 0.604 0.500
0.396 0.104 0.500
0.604 0.896 0.500
0.896 0.396 0.500
0.000 0.000 0.500
0.500 0.500 0.500
```

(13)
Starting from DFT lattice parameters and positions (GGA-PBE), the XRD peak list of HfCr2HgPd was calculated for Cu Kα.
Kinematic intensities with the Lorentz-polarization factor, no thermal factor.

Most intense lines, 5 to 70 degrees two-theta, in order of falling intensity:
d_spacing	2theta	Rel. int.
3.493	25.50	100
2.453	36.64	98
3.469	25.68	98
1.747	52.38	69
2.488	36.10	51
2.022	44.83	46

Cell and atoms:
```
HfCr2HgPd
1.0
4.906 0.000 0.000
0.000 4.906 0.000
0.000 0.000 4.976
Hf Cr Hg Pd
1 2 1 1
direct
0.000 0.000 0.000
0.000 0.500 0.500
0.500 0.000 0.500
0.500 0.500 0.500
0.500 0.500 0.000
```

(14)
Starting from DFT lattice parameters and positions (GGA-PBE), the XRD peak list of HfCrIn was calculated for Cu Kα.
Kinematic intensities with the Lorentz-polarization factor, no thermal factor.

Most intense lines, 5 to 70 degrees two-theta, in order of falling intensity:
d_spacing	2theta	Rel. int.
2.525	35.55	100
2.761	32.43	93
2.573	34.87	74
2.225	40.54	51
2.081	43.50	50
2.828	31.64	50

Cell and atoms:
```
HfCrIn
1.0
0.000 4.908 8.833
2.690 0.000 8.833
2.690 4.908 0.000
Hf Cr In
4 4 4
direct
0.032 0.718 0.032
0.282 0.968 0.282
0.718 0.032 0.718
0.968 0.282 0.968
0.003 0.003 0.747
0.253 0.253 0.997
0.747 0.747 0.003
0.997 0.997 0.253
0.290 0.290 0.460
0.460 0.460 0.290
0.540 0.540 0.710
0.710 0.710 0.540
```